# TaCr3Cu2S8
Calculated XRD peak list, Cu Kα (weighted mean of Kα1 and Kα2). Input: a cell relaxed with PBE.

Structural model:
Cell: 5.867 6.988 5.948 Å, 90.00 93.30 90.00°
Sites, in units of the cell vectors:
Ta 0.000 0.000 0.000
Cr 0.000 0.251 0.500
Cr 0.000 0.500 0.000
Cr 0.000 0.749 0.500
Cu 0.500 0.000 0.000
Cu 0.500 0.500 0.000
S 0.220 0.500 0.678
S 0.237 0.000 0.672
S 0.243 0.254 0.180
S 0.243 0.746 0.180
S 0.757 0.254 0.820
S 0.757 0.746 0.820
S 0.763 0.000 0.328
S 0.780 0.500 0.322

The 8 most intense peaks (2θ = 10–90°), low angle first:
d_spacing, Rel. int.
5.938, 100
5.857, 80
3.011, 78
2.647, 76
2.148, 50
2.131, 66
2.069, 79
1.722, 58